# 1
Structure and calculated X-ray diffraction stick pattern of Li5Ti3V2P6O24 (a crystal structure in the Materials Project, relaxed with PBE+U; Cu Kα (λ = 1.5418 Å)).

Structural model:
```
data_Li5Ti3V2P6O24
_cell_length_a 8.501
_cell_length_b 8.542
_cell_length_c 8.569
_cell_angle_alpha 62.88
_cell_angle_beta 63.30
_cell_angle_gamma 63.34
_symmetry_space_group_name_H-M 'P 1'
_symmetry_Int_Tables_number 1
loop_
_symmetry_equiv_pos_as_xyz
'x,y,z'
loop_
_atom_site_label
_atom_site_type_symbol
_atom_site_fract_x
_atom_site_fract_y
_atom_site_fract_z
_atom_site_occupancy
Li1 Li 0.000 0.000 0.000 1
Li2 Li 0.013 0.825 0.352 1
Li3 Li 0.353 0.015 0.824 1
Li4 Li 0.824 0.356 0.012 1
Li5 Li 0.912 0.304 0.514 1
Ti1 Ti 0.306 0.309 0.300 1
Ti2 Ti 0.512 0.520 0.513 1
Ti3 Ti 0.807 0.811 0.810 1
V1 V 0.161 0.160 0.152 1
V2 V 0.650 0.663 0.656 1
P1 P 0.105 0.413 0.703 1
P2 P 0.213 0.914 0.606 1
P3 P 0.411 0.709 0.112 1
P4 P 0.606 0.215 0.914 1
P5 P 0.711 0.117 0.412 1
P6 P 0.912 0.610 0.212 1
O1 O 0.050 0.848 0.649 1
O2 O 0.058 0.411 0.233 1
O3 O 0.104 0.258 0.892 1
O4 O 0.122 0.352 0.550 1
O5 O 0.189 0.976 0.757 1
O6 O 0.214 0.075 0.416 1
O7 O 0.257 0.898 0.103 1
O8 O 0.265 0.486 0.643 1
O9 O 0.341 0.552 0.151 1
O10 O 0.403 0.759 0.578 1
O11 O 0.411 0.233 0.063 1
O12 O 0.492 0.658 0.262 1
O13 O 0.546 0.164 0.353 1
O14 O 0.558 0.734 0.913 1
O15 O 0.593 0.403 0.748 1
O16 O 0.646 0.054 0.849 1
O17 O 0.683 0.266 0.484 1
O18 O 0.729 0.919 0.562 1
O19 O 0.759 0.189 0.977 1
O20 O 0.760 0.580 0.409 1
O21 O 0.846 0.647 0.054 1
O22 O 0.899 0.101 0.255 1
O23 O 0.909 0.564 0.736 1
O24 O 0.976 0.761 0.187 1
```

Most intense lines, 10 to 90 degrees two-theta, by intensity:
23.87°, 3.727 Å, I 100.0; 23.71°, 3.752 Å, I 50.8; 19.86°, 4.471 Å, I 41.3; 33.22°, 2.697 Å, I 33.9; 34.72°, 2.584 Å, I 28.3; 32.95°, 2.719 Å, I 25.1; 24.59°, 3.620 Å, I 19.6; 30.84°, 2.899 Å, I 17.9; 48.92°, 1.862 Å, I 14.6; 34.81°, 2.577 Å, I 13.8

=====

# 2
Structure and calculated X-ray diffraction stick pattern of LiV3P6O20 (a crystal structure in the Materials Project, relaxed with PBE+U; Cu Kα (λ = 1.5418 Å)).

Structural model:
```
data_LiV3P6O20
_cell_length_a 8.421
_cell_length_b 8.421
_cell_length_c 12.287
_cell_angle_alpha 90.00
_cell_angle_beta 90.00
_cell_angle_gamma 104.86
_symmetry_space_group_name_H-M 'P 1'
_symmetry_Int_Tables_number 1
loop_
_symmetry_equiv_pos_as_xyz
'x,y,z'
loop_
_atom_site_label
_atom_site_type_symbol
_atom_site_fract_x
_atom_site_fract_y
_atom_site_fract_z
_atom_site_occupancy
Li1 Li 0.084 0.084 0.000 1
Li2 Li 0.916 0.916 0.500 1
V1 V 0.198 0.802 0.750 1
V2 V 0.264 0.736 0.250 1
V3 V 0.373 0.373 0.000 1
V4 V 0.627 0.627 0.500 1
V5 V 0.736 0.264 0.750 1
V6 V 0.802 0.198 0.250 1
P1 P 0.127 0.412 0.685 1
P2 P 0.200 0.316 0.220 1
P3 P 0.235 0.650 0.514 1
P4 P 0.316 0.200 0.780 1
P5 P 0.350 0.765 0.986 1
P6 P 0.412 0.127 0.315 1
P7 P 0.588 0.873 0.815 1
P8 P 0.650 0.235 0.486 1
P9 P 0.684 0.800 0.280 1
P10 P 0.765 0.350 0.014 1
P11 P 0.800 0.684 0.720 1
P12 P 0.873 0.588 0.185 1
O1 O 0.028 0.722 0.202 1
O2 O 0.038 0.226 0.270 1
O3 O 0.139 0.467 0.560 1
O4 O 0.159 0.560 0.759 1
O5 O 0.179 0.776 0.582 1
O6 O 0.187 0.649 0.396 1
O7 O 0.224 0.821 0.918 1
O8 O 0.225 0.237 0.107 1
O9 O 0.226 0.038 0.730 1
O10 O 0.237 0.225 0.893 1
O11 O 0.238 0.500 0.203 1
O12 O 0.278 0.972 0.298 1
O13 O 0.284 0.338 0.697 1
O14 O 0.338 0.284 0.303 1
O15 O 0.347 0.581 0.968 1
O16 O 0.351 0.813 0.104 1
O17 O 0.419 0.653 0.532 1
O18 O 0.440 0.841 0.741 1
O19 O 0.467 0.139 0.440 1
O20 O 0.500 0.238 0.797 1
O21 O 0.500 0.762 0.297 1
O22 O 0.533 0.861 0.940 1
O23 O 0.560 0.159 0.241 1
O24 O 0.581 0.347 0.032 1
O25 O 0.649 0.187 0.604 1
O26 O 0.653 0.419 0.468 1
O27 O 0.662 0.716 0.803 1
O28 O 0.716 0.662 0.197 1
O29 O 0.722 0.028 0.798 1
O30 O 0.762 0.500 0.703 1
O31 O 0.763 0.775 0.393 1
O32 O 0.774 0.962 0.230 1
O33 O 0.775 0.763 0.607 1
O34 O 0.776 0.179 0.418 1
O35 O 0.813 0.351 0.896 1
O36 O 0.821 0.224 0.082 1
O37 O 0.841 0.440 0.259 1
O38 O 0.861 0.533 0.060 1
O39 O 0.962 0.774 0.770 1
O40 O 0.972 0.278 0.702 1
```

Most intense lines, 10 to 90 degrees two-theta, by intensity:
21.84°, 4.070 Å, I 100.0; 22.99°, 3.869 Å, I 97.4; 18.09°, 4.904 Å, I 57.7; 14.42°, 6.143 Å, I 49.3; 10.87°, 8.140 Å, I 36.1; 29.07°, 3.072 Å, I 35.6; 32.83°, 2.728 Å, I 33.1; 26.24°, 3.397 Å, I 32.2; 13.26°, 6.675 Å, I 23.7; 22.57°, 3.940 Å, I 16.4

=====

# 3
Structure and calculated X-ray diffraction stick pattern of LiVP2O7 (a crystal structure in the Materials Project, relaxed with PBE+U; Cu Kα (λ = 1.5418 Å)).

Structural model:
```
data_LiVP2O7
_cell_length_a 6.476
_cell_length_b 6.476
_cell_length_c 12.399
_cell_angle_alpha 104.15
_cell_angle_beta 104.15
_cell_angle_gamma 79.62
_symmetry_space_group_name_H-M 'P 1'
_symmetry_Int_Tables_number 1
loop_
_symmetry_equiv_pos_as_xyz
'x,y,z'
loop_
_atom_site_label
_atom_site_type_symbol
_atom_site_fract_x
_atom_site_fract_y
_atom_site_fract_z
_atom_site_occupancy
Li1 Li 0.125 0.125 0.375 1
Li2 Li 0.376 0.375 0.125 1
Li3 Li 0.625 0.624 0.875 1
Li4 Li 0.875 0.875 0.625 1
V1 V 0.000 0.249 0.875 1
V2 V 0.250 0.499 0.626 1
V3 V 0.501 0.750 0.374 1
V4 V 0.751 0.000 0.125 1
P1 P 0.043 0.620 0.376 1
P2 P 0.129 0.707 0.874 1
P3 P 0.293 0.871 0.126 1
P4 P 0.380 0.957 0.624 1
P5 P 0.542 0.121 0.876 1
P6 P 0.629 0.208 0.374 1
P7 P 0.792 0.371 0.626 1
P8 P 0.879 0.458 0.124 1
O1 O 0.024 0.928 0.855 1
O2 O 0.029 0.471 0.250 1
O3 O 0.044 0.355 0.049 1
O4 O 0.072 0.976 0.145 1
O5 O 0.144 0.454 0.451 1
O6 O 0.183 0.792 0.382 1
O7 O 0.208 0.817 0.618 1
O8 O 0.274 0.178 0.605 1
O9 O 0.279 0.721 0.000 1
O10 O 0.295 0.606 0.799 1
O11 O 0.321 0.226 0.895 1
O12 O 0.394 0.705 0.201 1
O13 O 0.433 0.043 0.132 1
O14 O 0.456 0.068 0.368 1
O15 O 0.524 0.429 0.356 1
O16 O 0.529 0.971 0.750 1
O17 O 0.546 0.856 0.549 1
O18 O 0.571 0.476 0.644 1
O19 O 0.645 0.956 0.951 1
O20 O 0.682 0.294 0.882 1
O21 O 0.706 0.318 0.118 1
O22 O 0.774 0.679 0.105 1
O23 O 0.779 0.221 0.500 1
O24 O 0.795 0.105 0.299 1
O25 O 0.822 0.726 0.395 1
O26 O 0.895 0.205 0.701 1
O27 O 0.932 0.544 0.632 1
O28 O 0.957 0.567 0.868 1
```

Most intense lines, 10 to 90 degrees two-theta, by intensity:
29.51°, 3.027 Å, I 100.0; 29.03°, 3.076 Å, I 98.8; 30.42°, 2.938 Å, I 89.0; 17.46°, 5.079 Å, I 61.6; 21.43°, 4.146 Å, I 61.2; 35.34°, 2.540 Å, I 33.2; 24.16°, 3.684 Å, I 28.1; 42.60°, 2.122 Å, I 25.9; 57.63°, 1.599 Å, I 24.6; 43.93°, 2.061 Å, I 24.2

=====

# 4
Structure and calculated X-ray diffraction stick pattern of LiVP4O12 (a crystal structure in the Materials Project, relaxed with PBE+U; Cu Kα (λ = 1.5418 Å)).

Structural model:
```
data_LiVP4O12
_cell_length_a 7.018
_cell_length_b 7.018
_cell_length_c 9.669
_cell_angle_alpha 91.17
_cell_angle_beta 91.17
_cell_angle_gamma 109.45
_symmetry_space_group_name_H-M 'P 1'
_symmetry_Int_Tables_number 1
loop_
_symmetry_equiv_pos_as_xyz
'x,y,z'
loop_
_atom_site_label
_atom_site_type_symbol
_atom_site_fract_x
_atom_site_fract_y
_atom_site_fract_z
_atom_site_occupancy
Li1 Li 0.168 0.832 0.750 1
Li2 Li 0.832 0.168 0.250 1
V1 V 0.111 0.889 0.250 1
V2 V 0.889 0.111 0.750 1
P1 P 0.202 0.280 0.029 1
P2 P 0.270 0.625 0.466 1
P3 P 0.280 0.202 0.529 1
P4 P 0.375 0.730 0.034 1
P5 P 0.625 0.270 0.966 1
P6 P 0.720 0.798 0.471 1
P7 P 0.730 0.375 0.534 1
P8 P 0.798 0.720 0.971 1
O1 O 0.064 0.280 0.908 1
O2 O 0.107 0.149 0.149 1
O3 O 0.132 0.648 0.351 1
O4 O 0.149 0.107 0.649 1
O5 O 0.214 0.382 0.470 1
O6 O 0.272 0.718 0.604 1
O7 O 0.280 0.064 0.408 1
O8 O 0.282 0.728 0.896 1
O9 O 0.308 0.502 0.094 1
O10 O 0.352 0.868 0.149 1
O11 O 0.382 0.214 0.970 1
O12 O 0.498 0.692 0.406 1
O13 O 0.502 0.308 0.594 1
O14 O 0.618 0.786 0.030 1
O15 O 0.648 0.132 0.851 1
O16 O 0.692 0.498 0.906 1
O17 O 0.718 0.272 0.104 1
O18 O 0.720 0.936 0.592 1
O19 O 0.728 0.282 0.396 1
O20 O 0.786 0.618 0.530 1
O21 O 0.851 0.893 0.351 1
O22 O 0.868 0.352 0.649 1
O23 O 0.893 0.851 0.851 1
O24 O 0.936 0.720 0.092 1
```

Most intense lines, 10 to 90 degrees two-theta, by intensity:
26.96°, 3.307 Å, I 100.0; 23.11°, 3.849 Å, I 99.9; 18.36°, 4.832 Å, I 94.2; 27.28°, 3.269 Å, I 87.5; 16.46°, 5.386 Å, I 68.0; 31.61°, 2.830 Å, I 65.0; 32.36°, 2.767 Å, I 49.8; 28.26°, 3.157 Å, I 48.0; 16.02°, 5.533 Å, I 45.1; 29.27°, 3.051 Å, I 34.1